Entry 1:
Diffraction record for Mg3Ga2N4. The powder X-ray diffraction pattern is theoretical, not measured: it uses a structure optimized by DFT (GGA-PBE) and a wavelength of 1.5418 Å.

Structural model:
```
data_Mg3Ga2N4
_chemical_formula_sum 'Mg12 Ga8 N16'
_symmetry_space_group_name_H-M 'C 1 2/c 1'
_symmetry_Int_Tables_number 15
_symmetry_space_group_name_Hall '-C 2yc'
_cell_length_a 9.681
_cell_length_b 7.868
_cell_length_c 5.360
_cell_angle_alpha 90.00
_cell_angle_beta 90.50
_cell_angle_gamma 90.00
loop_
_atom_site_label
_atom_site_type_symbol
_atom_site_fract_x
_atom_site_fract_y
_atom_site_fract_z
_atom_site_occupancy
Mg1 Mg 0.000 0.133 0.250 1
Mg2 Mg 0.112 0.373 0.563 1
Ga1 Ga 0.198 0.119 0.878 1
N1 N 0.107 0.336 0.000 1
N2 N 0.155 0.098 0.526 1
```

Top 8 peaks for 2θ = 10–80°, by angle:
2theta, d (Å), I (rel.), hkl
18.33, 4.840, 56, 2 0 0
22.01, 4.039, 39, 1 1 -1
33.87, 2.646, 100, 2 2 1
34.26, 2.617, 61, 3 1 -1
36.54, 2.459, 57, 1 1 -2
46.15, 1.967, 44, 0 4 0
47.71, 1.906, 34, 3 3 -1
48.42, 1.880, 35, 5 1 0

---

Entry 2:
Diffraction record for NaMg6Ga. The powder X-ray diffraction pattern is theoretical, not measured: it uses a structure optimized by DFT (GGA-PBE) and a wavelength of 1.5418 Å.

Structural model:
```
data_NaMg6Ga
_chemical_formula_sum 'Na2 Mg12 Ga2'
_symmetry_space_group_name_H-M 'A m m 2'
_symmetry_Int_Tables_number 38
_symmetry_space_group_name_Hall 'A 2 -2'
_cell_length_a 5.131
_cell_length_b 6.414
_cell_length_c 11.101
_cell_angle_alpha 90.00
_cell_angle_beta 90.00
_cell_angle_gamma 90.00
loop_
_atom_site_label
_atom_site_type_symbol
_atom_site_fract_x
_atom_site_fract_y
_atom_site_fract_z
_atom_site_occupancy
Na1 Na 0.000 0.000 0.000 1
Mg1 Mg 0.000 0.000 0.504 1
Mg2 Mg 0.000 0.245 0.753 1
Mg3 Mg 0.500 0.000 0.336 1
Mg4 Mg 0.500 0.246 0.586 1
Ga1 Ga 0.500 0.000 0.834 1
```

Top 8 peaks for 2θ = 10–80°, by angle:
2theta, d (Å), I (rel.), hkl
15.96, 5.553, 19, 0 0 2
32.24, 2.776, 26, 0 0 4
34.97, 2.566, 25, 2 0 0
36.81, 2.442, 100, 1 2 2
48.30, 1.884, 16, 2 0 4
57.50, 1.603, 17, 0 4 0
63.93, 1.456, 18, 3 2 2
69.10, 1.359, 19, 2 4 0

---

Entry 3:
Diffraction record for NaMg14Ga. The powder X-ray diffraction pattern is theoretical, not measured: it uses a structure optimized by DFT (GGA-PBE) and a wavelength of 1.5418 Å.

Structural model:
```
data_NaMg14Ga
_chemical_formula_sum 'Na1 Mg14 Ga1'
_symmetry_space_group_name_H-M 'P -6 m 2'
_symmetry_Int_Tables_number 187
_symmetry_space_group_name_Hall 'P -6 2'
_cell_length_a 6.3346
_cell_length_b 6.3346
_cell_length_c 10.4911
_cell_angle_alpha 90.00
_cell_angle_beta 90.00
_cell_angle_gamma 120.00
loop_
_atom_site_label
_atom_site_type_symbol
_atom_site_fract_x
_atom_site_fract_y
_atom_site_fract_z
_atom_site_occupancy
Na1 Na 0.0000 0.0000 0.0000 1
Mg1 Mg 0.9997 0.4999 0.5000 1
Mg2 Mg 0.0012 0.5006 0.0000 1
Mg3 Mg 0.1663 0.3326 0.2534 1
Mg4 Mg 0.6667 0.3333 0.2479 1
Ga1 Ga 0.0000 0.0000 0.5000 1
```

Top 8 peaks for 2θ = 10–80°, by angle:
2theta, d (Å), I (rel.), hkl
32.65, 2.743, 24, 2 0 0
34.19, 2.623, 28, 0 0 4
36.98, 2.431, 100, 2 0 2
47.99, 1.896, 16, 2 0 4
58.26, 1.584, 17, 2 2 0
63.05, 1.474, 20, 2 0 6
69.31, 1.356, 19, 2 2 4
71.04, 1.327, 13, 4 0 2

---

Entry 4:
Diffraction record for NaMg14Ga. The powder X-ray diffraction pattern is theoretical, not measured: it uses a structure optimized by DFT (GGA-PBE) and a wavelength of 1.5418 Å.

Structural model:
```
data_NaMg14Ga
_chemical_formula_sum 'Na2 Mg28 Ga2'
_symmetry_space_group_name_H-M 'A m m 2'
_symmetry_Int_Tables_number 38
_symmetry_space_group_name_Hall 'A 2 -2'
_cell_length_a 10.369
_cell_length_b 6.396
_cell_length_c 10.976
_cell_angle_alpha 90.00
_cell_angle_beta 90.00
_cell_angle_gamma 90.00
loop_
_atom_site_label
_atom_site_type_symbol
_atom_site_fract_x
_atom_site_fract_y
_atom_site_fract_z
_atom_site_occupancy
Na1 Na 0.000 0.000 0.000 1
Mg1 Mg 0.000 0.246 0.249 1
Mg2 Mg 0.245 0.000 0.665 1
Mg3 Mg 0.249 0.245 0.417 1
Mg4 Mg 0.254 0.000 0.168 1
Mg5 Mg 0.500 0.000 0.499 1
Mg6 Mg 0.500 0.000 0.999 1
Mg7 Mg 0.500 0.249 0.750 1
Ga1 Ga 0.000 0.000 0.496 1
```

Top 8 peaks for 2θ = 10–80°, by angle:
2theta, d (Å), I (rel.), hkl
32.40, 2.763, 23, 0 2 2
34.60, 2.592, 39, 4 0 0
36.86, 2.438, 100, 2 2 2
37.07, 2.425, 48, 2 0 4
48.13, 1.891, 15, 4 2 2
58.09, 1.588, 16, 0 2 6
63.49, 1.465, 20, 6 2 2
69.41, 1.354, 19, 4 2 6

---

Entry 5:
Diffraction record for NaMg6Ga. The powder X-ray diffraction pattern is theoretical, not measured: it uses a structure optimized by DFT (GGA-PBE) and a wavelength of 1.5418 Å.

Structural model:
```
data_NaMg6Ga
_chemical_formula_sum 'Na2 Mg12 Ga2'
_symmetry_space_group_name_H-M 'A m m 2'
_symmetry_Int_Tables_number 38
_symmetry_space_group_name_Hall 'A 2 -2'
_cell_length_a 5.111
_cell_length_b 6.376
_cell_length_c 11.184
_cell_angle_alpha 90.00
_cell_angle_beta 90.00
_cell_angle_gamma 90.00
loop_
_atom_site_label
_atom_site_type_symbol
_atom_site_fract_x
_atom_site_fract_y
_atom_site_fract_z
_atom_site_occupancy
Na1 Na 0.000 0.000 0.000 1
Mg1 Mg 0.000 0.248 0.250 1
Mg2 Mg 0.500 0.000 0.168 1
Mg3 Mg 0.500 0.000 0.665 1
Mg4 Mg 0.500 0.245 0.417 1
Ga1 Ga 0.000 0.000 0.498 1
```

Top 8 peaks for 2θ = 10–80°, by angle:
2theta, d (Å), I (rel.), hkl
16.00, 5.539, 21, 0 1 1
32.33, 2.769, 26, 0 2 2
35.12, 2.555, 38, 2 0 0
36.63, 2.453, 50, 1 0 4
36.92, 2.435, 100, 1 2 2
57.25, 1.609, 17, 0 2 6
64.18, 1.451, 18, 3 2 2
68.96, 1.362, 19, 2 2 6

---

Entry 6:
Diffraction record for NaMg6GaO8. The powder X-ray diffraction pattern is theoretical, not measured: it uses a structure optimized by DFT (GGA-PBE) and a wavelength of 1.5418 Å.

Structural model:
```
data_NaMg6GaO8
_chemical_formula_sum 'Na1 Mg6 Ga1 O8'
_symmetry_space_group_name_H-M 'P 4/m m m'
_symmetry_Int_Tables_number 123
_symmetry_space_group_name_Hall '-P 4 2'
_cell_length_a 4.273
_cell_length_b 4.273
_cell_length_c 8.592
_cell_angle_alpha 90.00
_cell_angle_beta 90.00
_cell_angle_gamma 90.00
loop_
_atom_site_label
_atom_site_type_symbol
_atom_site_fract_x
_atom_site_fract_y
_atom_site_fract_z
_atom_site_occupancy
Na1 Na 0.000 0.000 0.000 1
Mg1 Mg 0.000 0.000 0.500 1
Mg2 Mg 0.000 0.500 0.249 1
Mg3 Mg 0.500 0.500 0.500 1
Ga1 Ga 0.500 0.500 0.000 1
O1 O 0.000 0.000 0.265 1
O2 O 0.000 0.500 0.000 1
O3 O 0.000 0.500 0.500 1
O4 O 0.500 0.500 0.237 1
```

Top 8 peaks for 2θ = 10–80°, by angle:
2theta, d (Å), I (rel.), hkl
10.30, 8.592, 21, 0 0 1
23.25, 3.826, 21, 1 0 1
36.35, 2.471, 32, 1 1 2
42.07, 2.148, 50, 0 0 4
42.30, 2.136, 100, 2 0 0
61.19, 1.515, 57, 2 0 4
61.37, 1.511, 29, 2 2 0
77.20, 1.236, 26, 2 2 4

---

Entry 7:
Diffraction record for NaMg6GaO8. The powder X-ray diffraction pattern is theoretical, not measured: it uses a structure optimized by DFT (GGA-PBE) and a wavelength of 1.5418 Å.

Structural model:
```
data_NaMg6GaO8
_chemical_formula_sum 'Na1 Mg6 Ga1 O8'
_symmetry_space_group_name_H-M 'P 4/m m m'
_symmetry_Int_Tables_number 123
_symmetry_space_group_name_Hall '-P 4 2'
_cell_length_a 4.326
_cell_length_b 4.326
_cell_length_c 8.482
_cell_angle_alpha 90.00
_cell_angle_beta 90.00
_cell_angle_gamma 90.00
loop_
_atom_site_label
_atom_site_type_symbol
_atom_site_fract_x
_atom_site_fract_y
_atom_site_fract_z
_atom_site_occupancy
Na1 Na 0.000 0.000 0.000 1
Mg1 Mg 0.000 0.500 0.241 1
Mg2 Mg 0.500 0.500 0.000 1
Mg3 Mg 0.500 0.500 0.500 1
Ga1 Ga 0.000 0.000 0.500 1
O1 O 0.000 0.000 0.277 1
O2 O 0.000 0.500 0.000 1
O3 O 0.000 0.500 0.500 1
O4 O 0.500 0.500 0.253 1
```

Top 8 peaks for 2θ = 10–80°, by angle:
2theta, d (Å), I (rel.), hkl
10.43, 8.482, 24, 0 0 1
23.08, 3.854, 20, 1 0 1
36.21, 2.481, 31, 1 1 2
41.76, 2.163, 100, 2 0 0
42.64, 2.120, 44, 0 0 4
60.53, 1.530, 29, 2 2 0
61.21, 1.514, 53, 2 0 4
76.85, 1.240, 24, 2 2 4

---

Entry 8:
Diffraction record for Na4MgGaP3O12. The powder X-ray diffraction pattern is theoretical, not measured: it uses a structure optimized by DFT (GGA-PBE) and a wavelength of 1.5418 Å.

Structural model:
```
data_Na4MgGaP3O12
_chemical_formula_sum 'Na24 Mg6 Ga6 P18 O72'
_symmetry_space_group_name_H-M 'R 3 c'
_symmetry_Int_Tables_number 161
_symmetry_space_group_name_Hall 'R 3 -2"c'
_cell_length_a 8.8816
_cell_length_b 8.8816
_cell_length_c 21.9187
_cell_angle_alpha 90.00
_cell_angle_beta 90.00
_cell_angle_gamma 120.00
loop_
_atom_site_label
_atom_site_type_symbol
_atom_site_fract_x
_atom_site_fract_y
_atom_site_fract_z
_atom_site_occupancy
Na1 Na 0.0000 0.0000 0.0000 1
Na2 Na 0.0343 0.3363 0.0838 1
Mg1 Mg 0.0000 0.0000 0.3515 1
Ga1 Ga 0.0000 0.0000 0.1528 1
P1 P 0.0015 0.2936 0.2518 1
O1 O 0.0188 0.1919 0.9116 1
O2 O 0.0388 0.2138 0.1937 1
O3 O 0.1539 0.4555 0.9745 1
O4 O 0.1696 0.4782 0.2567 1
```

Top 8 peaks for 2θ = 10–80°, by angle:
2theta, d (Å), I (rel.), hkl
14.07, 6.296, 32, 0 1 2
19.89, 4.463, 32, 1 0 4
23.44, 3.795, 36, 1 1 3
31.03, 2.882, 25, 2 1 1
31.72, 2.821, 100, 1 1 6
34.99, 2.564, 52, 3 0 0
47.95, 1.897, 40, 2 2 6
60.73, 1.525, 22, 4 1 6